Structure and calculated XRD peak list of AcNd2Y5Tm (DFT lattice parameters and positions (PBE); Cu Kα, 1.54184 Å).

Principal peaks in the range 2θ = 10–90°, in order of falling intensity:
2θ = 30.4°, I 100
2θ = 28.4°, I 50
2θ = 28.2°, I 42
2θ = 42.3°, I 30
2θ = 51.6°, I 24
2θ = 23.0°, I 19
2θ = 37.0°, I 18
2θ = 31.9°, I 16
2θ = 30.7°, I 15
2θ = 36.5°, I 15

Atomic structure:
a = 10.040 Å, b = 10.040 Å, c = 10.040 Å
α = 127.54°, β = 127.54°, γ = 77.38°
Element x y z (fractional)
1 Ac 0.250 0.250 0.000
2 Ac 0.750 0.750 0.000
3 Nd 0.117 0.617 0.733
4 Nd 0.383 0.117 0.500
5 Nd 0.617 0.883 0.500
6 Nd 0.883 0.383 0.267
7 Y 0.000 0.000 0.000
8 Y 0.073 0.160 0.500
9 Y 0.160 0.660 0.087
10 Y 0.340 0.427 0.500
11 Y 0.427 0.927 0.087
12 Y 0.500 0.500 0.000
13 Y 0.573 0.073 0.913
14 Y 0.660 0.573 0.500
15 Y 0.840 0.340 0.913
16 Y 0.927 0.840 0.500
17 Tm 0.250 0.750 0.500
18 Tm 0.750 0.250 0.500



Structure and calculated XRD peak list of PrY3Er5 (DFT lattice parameters and positions (PBE); Cu Kα, 1.54184 Å).

Principal peaks in the range 2θ = 10–90°, in order of falling intensity:
2θ = 30.5°, I 100
2θ = 31.8°, I 89
2θ = 32.0°, I 86
2θ = 31.4°, I 63
2θ = 28.4°, I 59
2θ = 54.0°, I 34
2θ = 36.1°, I 31
2θ = 29.6°, I 28
2θ = 23.1°, I 24
2θ = 48.3°, I 21

Atomic structure:
a = 10.043 Å, b = 10.043 Å, c = 11.308 Å
α = 112.38°, β = 112.38°, γ = 34.92°
Element x y z (fractional)
1 Pr 0.094 0.906 0.750
2 Pr 0.906 0.094 0.250
3 Y 0.000 0.000 0.000
4 Y 0.000 0.000 0.500
5 Y 0.058 0.587 0.638
6 Y 0.413 0.942 0.862
7 Y 0.587 0.058 0.138
8 Y 0.942 0.413 0.362
9 Er 0.082 0.578 0.971
10 Er 0.095 0.579 0.305
11 Er 0.411 0.589 0.250
12 Er 0.421 0.905 0.195
13 Er 0.422 0.918 0.529
14 Er 0.578 0.082 0.471
15 Er 0.579 0.095 0.805
16 Er 0.589 0.411 0.750
17 Er 0.905 0.421 0.695
18 Er 0.918 0.422 0.029



Repeat the second record exactly.
Structure and calculated XRD peak list of PrY3Er5 (DFT lattice parameters and positions (PBE); Cu Kα, 1.54184 Å).

Principal peaks in the range 2θ = 10–90°, in order of falling intensity:
2θ = 30.5°, I 100
2θ = 31.8°, I 89
2θ = 32.0°, I 86
2θ = 31.4°, I 63
2θ = 28.4°, I 59
2θ = 54.0°, I 34
2θ = 36.1°, I 31
2θ = 29.6°, I 28
2θ = 23.1°, I 24
2θ = 48.3°, I 21

Atomic structure:
a = 10.043 Å, b = 10.043 Å, c = 11.308 Å
α = 112.38°, β = 112.38°, γ = 34.92°
Element x y z (fractional)
1 Pr 0.094 0.906 0.750
2 Pr 0.906 0.094 0.250
3 Y 0.000 0.000 0.000
4 Y 0.000 0.000 0.500
5 Y 0.058 0.587 0.638
6 Y 0.413 0.942 0.862
7 Y 0.587 0.058 0.138
8 Y 0.942 0.413 0.362
9 Er 0.082 0.578 0.971
10 Er 0.095 0.579 0.305
11 Er 0.411 0.589 0.250
12 Er 0.421 0.905 0.195
13 Er 0.422 0.918 0.529
14 Er 0.578 0.082 0.471
15 Er 0.579 0.095 0.805
16 Er 0.589 0.411 0.750
17 Er 0.905 0.421 0.695
18 Er 0.918 0.422 0.029